# 1
# Li5Ni9As7
Theoretical XRD peak list, copper Kα. Input: a crystal structure in Alexandria, relaxed with GGA-PBE.

Main lines, most intense first (2θ = 10–90°):
| 2θ (°) | intensity |
| --- | --- |
| 46.82 | 100 |
| 37.59 | 86 |
| 25.78 | 65 |
| 18.92 | 59 |
| 29.08 | 52 |
| 50.93 | 51 |
| 51.55 | 47 |
| 47.63 | 45 |
| 21.88 | 34 |
| 72.81 | 32 |

Atomic structure:
```
data_Li5Ni9As7
_chemical_formula_sum 'Li5 Ni9 As7'
_cell_length_a 9.3805
_cell_length_b 9.3805
_cell_length_c 3.8181
_cell_angle_alpha 90.00
_cell_angle_beta 90.00
_cell_angle_gamma 120.00
_space_group_name_H-M_alt 'P -6'
_space_group_IT_number 174
loop_
_space_group_symop_operation_xyz
'x,y,z'
'-x+y,-x,-z'
'-y,x-y,z'
'x,y,-z'
'-x+y,-x,z'
'-y,x-y,-z'
loop_
_atom_site_label
_atom_site_type_symbol
_atom_site_fract_x
_atom_site_fract_y
_atom_site_fract_z
Li1 Li 0.0000 0.0000 0.0000
Li2 Li 0.1191 0.5546 0.5000
Li3 Li 0.6667 0.3333 0.5000
Ni1 Ni 0.1623 0.7863 0.0000
Ni2 Ni 0.2923 0.2343 0.5000
Ni3 Ni 0.3799 0.0936 0.0000
As1 As 0.0459 0.2501 0.5000
As2 As 0.3333 0.6667 0.0000
As3 As 0.4616 0.3709 0.0000
```

---

# 2
# AcTb12Y2
Theoretical XRD peak list, copper Kα. Input: a crystal structure in Alexandria, relaxed with GGA-PBE.

Main lines, most intense first (2θ = 10–90°):
| 2θ (°) | intensity |
| --- | --- |
| 31.77 | 100 |
| 30.06 | 99 |
| 30.79 | 65 |
| 31.90 | 58 |
| 29.89 | 50 |
| 45.64 | 43 |
| 33.30 | 41 |
| 32.08 | 39 |
| 32.11 | 39 |
| 60.94 | 31 |

Atomic structure:
```
data_AcTb12Y2
_chemical_formula_sum 'Ac1 Tb12 Y2'
_cell_length_a 3.612
_cell_length_b 5.632
_cell_length_c 24.566
_cell_angle_alpha 90.00
_cell_angle_beta 94.14
_cell_angle_gamma 90.00
_space_group_name_H-M_alt 'P 1 2/m 1'
_space_group_IT_number 10
loop_
_space_group_symop_operation_xyz
'x,y,z'
'-x,-y,-z'
'-x,y,-z'
'x,-y,z'
loop_
_atom_site_label
_atom_site_type_symbol
_atom_site_fract_x
_atom_site_fract_y
_atom_site_fract_z
Ac1 Ac 0.000 0.000 0.000
Tb1 Tb 0.074 0.000 0.143
Tb2 Tb 0.104 0.500 0.204
Tb3 Tb 0.169 0.500 0.332
Tb4 Tb 0.216 0.000 0.427
Tb5 Tb 0.275 0.500 0.555
Tb6 Tb 0.460 0.500 0.922
Y1 Y 0.360 0.000 0.725
```

---

# 3
# CeZnGa2Ge
Theoretical XRD peak list, copper Kα. Input: a crystal structure in Alexandria, relaxed with GGA-PBE.

Main lines, most intense first (2θ = 10–90°):
| 2θ (°) | intensity |
| --- | --- |
| 28.66 | 100 |
| 37.62 | 85 |
| 32.77 | 69 |
| 31.42 | 67 |
| 33.10 | 57 |
| 40.98 | 55 |
| 43.04 | 53 |
| 56.83 | 45 |
| 46.07 | 42 |
| 52.53 | 38 |

Atomic structure:
```
data_CeZnGa2Ge
_chemical_formula_sum 'Ce4 Zn4 Ga8 Ge4'
_cell_length_a 6.230
_cell_length_b 6.230
_cell_length_c 11.387
_cell_angle_alpha 90.00
_cell_angle_beta 90.00
_cell_angle_gamma 90.00
_space_group_name_H-M_alt 'I 4 c m'
_space_group_IT_number 108
_space_group_name_Hall 'I 4 -2c'
loop_
_atom_site_label
_atom_site_type_symbol
_atom_site_fract_x
_atom_site_fract_y
_atom_site_fract_z
Ce1 Ce 0.000 0.000 0.000
Zn1 Zn 0.000 0.000 0.253
Ga1 Ga 0.146 0.354 0.193
Ge1 Ge 0.000 0.500 0.445
```